For KTmMoO5, a cell relaxed with PBE+U gives the simulated PXRD pattern in this record (Cu Kα X-rays).
Neutral-atom scattering factors, no anomalous dispersion.

Atomic structure:
```
data_KTmMoO5
_cell_length_a 7.679
_cell_length_b 10.075
_cell_length_c 8.036
_cell_angle_alpha 90.00
_cell_angle_beta 114.24
_cell_angle_gamma 90.00
_symmetry_space_group_name_H-M 'C 1 2/c 1'
_symmetry_Int_Tables_number 15
loop_
_symmetry_equiv_pos_as_xyz
'x,y,z'
'-x,-y,-z'
'-x,y,-z+1/2'
'x,-y,z+1/2'
'x+1/2,y+1/2,z'
'-x+1/2,-y+1/2,-z'
'-x+1/2,y+1/2,-z+1/2'
'x+1/2,-y+1/2,z+1/2'
loop_
_atom_site_label
_atom_site_type_symbol
_atom_site_fract_x
_atom_site_fract_y
_atom_site_fract_z
K1 K 0.000 0.183 0.250
Tm1 Tm 0.000 0.500 0.000
Mo1 Mo 0.000 0.182 0.750
O1 O 0.000 0.435 0.250
O2 O 0.088 0.286 0.619
O3 O 0.186 0.076 0.901
```

Most intense lines, 2θ = 10–90°, in order of falling intensity:
h k l  two_theta  I_rel
1 1 -2  24.00  100.0
1 3 0  29.50  86.8
2 0 0  25.44  77.3
1 1 0  15.41  70.3
0 2 2  30.16  63.0
2 2 -2  32.46  33.2
3 3 0  47.44  27.6
3 1 -2  37.28  26.5